Diffraction record for CrH2. The X-ray diffraction stick pattern is computed, not measured: it uses a crystal structure in the Materials Project, relaxed with GGA-PBE and Cu Kα.
Neutral-atom scattering factors, no anomalous dispersion.

Atomic structure:
```
CrH2
1.0
0.0000 2.0531 2.0531
2.0531 0.0000 2.0531
2.0531 2.0531 0.0000
Cr H
1 2
direct
0.0000 0.0000 0.0000 Cr
0.2500 0.2500 0.2500 H
0.7500 0.7500 0.7500 H
```

The 5 most intense peaks (2θ from 15° to 90°), most intense first:
2theta  I_rel
37.95  1000
44.11  430
77.02  299
64.15  285
81.14  83